# Ho7Er2
Calculated XRD peak list, Cu Kα (λ = 1.5418 Å). Input: a cell relaxed with GGA-PBE.
Kinematic intensities with the Lorentz-polarization factor, no thermal factor.

Structure:
```
data_Ho7Er2
_chemical_formula_sum 'Ho7 Er2'
_cell_length_a 6.0815
_cell_length_b 6.0815
_cell_length_c 8.6010
_cell_angle_alpha 90.00
_cell_angle_beta 90.00
_cell_angle_gamma 120.00
_space_group_name_H-M_alt 'P -3 1 m'
_space_group_IT_number 162
_space_group_name_Hall '-P 3 2'
loop_
_atom_site_label
_atom_site_fract_x
_atom_site_fract_y
_atom_site_fract_z
Ho1 0.0000 0.0000 0.0000
Ho2 0.0000 0.3334 0.6670
Er1 0.3333 0.6667 0.0000
```

Main lines, in order of rising 2θ (2θ from 10° to 90°):
- 31.2°, rel. 100
- 36.2°, rel. 51
- 52.1°, rel. 36
- 62.0°, rel. 43
- 65.1°, rel. 12
- 76.8°, rel. 6
- 85.2°, rel. 18
- 87.9°, rel. 17